Entry 1:
AgHg2I: theoretical powder diffractogram (Cu Kα (λ = 1.5418 Å)), based on a crystal structure in Alexandria, relaxed with PBE.
No peak broadening, texture or thermal motion is included.

Structure:
```
8
Lattice="9.0215 0.0000 0.0000 0.0000 4.3798 0.0000 -2.4564 0.0000 6.8101" Properties=species:S:1:pos:R:3 pbc="T T T"
Ag 0.0000 0.0000 0.0000
Ag 4.5107 2.1899 0.0000
Hg -1.4800 2.1899 4.9992
Hg 1.2077 2.1899 3.6023
Hg 3.0308 0.0000 4.9992
Hg 5.7185 0.0000 3.6023
I 2.7925 0.0000 0.8844
I 7.3032 2.1899 0.8844
```

Principal peaks in the range 2θ from 5° to 70°, sorted by position:
2theta  I_rel
13.00  33
22.85  30
24.51  49
27.47  40
28.12  100
28.30  58
32.12  55
36.32  100
37.71  42
41.22  42


Entry 2:
KAgHgI4: theoretical powder diffractogram (Cu Kα (λ = 1.5418 Å)), based on a crystal structure in Alexandria, relaxed with PBE.
No peak broadening, texture or thermal motion is included.

Structure:
```
14
Lattice="7.4958 0.0000 0.0000 0.0000 8.6343 0.0000 -2.0025 0.0000 9.3917" Properties=species:S:1:pos:R:3 pbc="T T T"
K 1.3330 2.1586 0.5519
K 4.1602 6.4758 8.8397
Ag 0.8004 2.1586 6.5587
Ag 4.6929 6.4758 2.8329
Hg 1.0243 6.4758 3.1118
Hg 4.4690 2.1586 6.2799
I -1.1824 0.0425 6.8742
I -1.1824 4.2746 6.8742
I 2.7830 6.4758 0.6740
I 2.5267 2.1586 4.2866
I 2.9666 6.4758 5.1050
I 2.7103 2.1586 8.7177
I 6.6756 4.3597 2.5175
I 6.6756 8.5918 2.5175
```

Principal peaks in the range 2θ from 5° to 70°, sorted by position:
2theta  I_rel
13.93  100
20.22  40
20.57  31
23.92  69
28.55  30
29.48  38
29.81  49
39.68  46
40.08  42
41.85  40


Entry 3:
NaAgHg2I6: theoretical powder diffractogram (Cu Kα (λ = 1.5418 Å)), based on a crystal structure in Alexandria, relaxed with PBE.
No peak broadening, texture or thermal motion is included.

Structure:
```
20
Lattice="7.7355 -7.1263 0.0000 7.7355 7.1263 0.0000 -2.7112 0.0000 7.7056" Properties=species:S:1:pos:R:3 pbc="T T T"
Na 5.7021 5.4925 5.7792
Na 7.0577 -5.4925 1.9264
Ag 7.0577 4.2183 1.9264
Ag 5.7021 -4.2183 5.7792
Hg 2.7608 1.1206 5.9632
Hg 4.1163 -1.1206 2.1104
Hg 8.6435 1.1206 5.5952
Hg 9.9991 -1.1206 1.7424
I 0.0580 0.9771 4.9485
I 3.3046 3.6834 7.0732
I 1.4136 -0.9771 1.0957
I 4.5419 1.2068 3.6539
I 8.0997 3.6834 4.4852
I 3.1863 -1.2068 7.5067
I 9.5735 1.2068 0.1989
I 4.6601 -3.6834 3.2204
I 8.2179 -1.2068 4.0516
I 11.3463 0.9771 6.6099
I 9.4553 -3.6834 0.6324
I 12.7018 -0.9771 2.7571
```

Principal peaks in the range 2θ from 5° to 70°, sorted by position:
2theta  I_rel
16.95  100
19.28  51
21.76  35
22.23  70
24.40  39
35.29  32
37.88  37
41.17  60
41.76  36
44.36  32